(1)
Pr7NdCd3: calculated PXRD pattern (CuKα), based on the PBE geometry in Alexandria.
Kinematic intensities with the Lorentz-polarization factor, no thermal factor.

Structural model:
```
data_Pr7NdCd3
_cell_length_a 5.9820
_cell_length_b 10.2609
_cell_length_c 11.9712
_cell_angle_alpha 90.00
_cell_angle_beta 90.00
_cell_angle_gamma 90.00
_symmetry_space_group_name_H-M 'I m m m'
_symmetry_Int_Tables_number 71
_symmetry_space_group_name_Hall '-I 2 2'
loop_
_atom_site_label
_atom_site_type_symbol
_atom_site_fract_x
_atom_site_fract_y
_atom_site_fract_z
Pr1 Pr 0.0000 0.0000 0.0000
Pr2 Pr 0.0000 0.1748 0.5000
Pr3 Pr 0.0000 0.3213 0.2145
Nd1 Nd 0.0000 0.5000 0.5000
Cd1 Cd 0.0000 0.0000 0.2690
Cd2 Cd 0.0000 0.5000 0.0000
```

Principal peaks in the range 10° ≤ 2θ ≤ 90°, low angle first:
d/Å	Rel. int.
3.320	14
3.289	20
2.992	100
2.787	30
2.660	97
2.213	14
2.116	31
1.656	32
1.485	22
1.330	12

(2)
Cs2ThS3: calculated PXRD pattern (CuKα), based on the PBE geometry in Alexandria.
Kinematic intensities with the Lorentz-polarization factor, no thermal factor.

Structural model:
```
data_Cs2ThS3
_cell_length_a 9.6810
_cell_length_b 12.9318
_cell_length_c 26.2809
_cell_angle_alpha 90.00
_cell_angle_beta 90.00
_cell_angle_gamma 90.00
_symmetry_space_group_name_H-M 'F d d d'
_symmetry_Int_Tables_number 70
loop_
_symmetry_equiv_pos_as_xyz
'x,y,z'
'-x,-y,-z'
'-x+1/4,-y+1/4,z'
'x+1/4,y+1/4,-z'
'x,-y+1/4,-z+1/4'
'-x,y+1/4,z+1/4'
'-x+1/4,y,-z+1/4'
'x+1/4,-y,z+1/4'
'x,y+1/2,z+1/2'
'-x,-y+1/2,-z+1/2'
'-x+1/4,-y+3/4,z+1/2'
'x+1/4,y+3/4,-z+1/2'
'x,-y+3/4,-z+3/4'
'-x,y+3/4,z+3/4'
'-x+1/4,y+1/2,-z+3/4'
'x+1/4,-y+1/2,z+3/4'
'x+1/2,y,z+1/2'
'-x+1/2,-y,-z+1/2'
'-x+3/4,-y+1/4,z+1/2'
'x+3/4,y+1/4,-z+1/2'
'x+1/2,-y+1/4,-z+3/4'
'-x+1/2,y+1/4,z+3/4'
'-x+3/4,y,-z+3/4'
'x+3/4,-y,z+3/4'
'x+1/2,y+1/2,z'
'-x+1/2,-y+1/2,-z'
'-x+3/4,-y+3/4,z'
'x+3/4,y+3/4,-z'
'x+1/2,-y+3/4,-z+1/4'
'-x+1/2,y+3/4,z+1/4'
'-x+3/4,y+1/2,-z+1/4'
'x+3/4,-y+1/2,z+1/4'
loop_
_atom_site_label
_atom_site_type_symbol
_atom_site_fract_x
_atom_site_fract_y
_atom_site_fract_z
Cs1 Cs 0.1250 0.1250 0.0503
Cs2 Cs 0.1250 0.1250 0.3675
Th1 Th 0.1250 0.1250 0.5402
S1 S 0.0531 0.3750 0.8750
S2 S 0.0992 0.3453 0.7219
```

Principal peaks in the range 10° ≤ 2θ ≤ 90°, low angle first:
d/Å	Rel. int.
7.433	23
3.875	82
3.626	63
3.248	100
3.233	53
2.420	21
2.291	72
2.013	34
1.936	34
1.907	23

(3)
NdMg4: calculated PXRD pattern (CuKα), based on the PBE geometry in Alexandria.
Kinematic intensities with the Lorentz-polarization factor, no thermal factor.

Structural model:
```
data_NdMg4
_cell_length_a 3.4439
_cell_length_b 5.1852
_cell_length_c 7.8824
_cell_angle_alpha 109.10
_cell_angle_beta 102.62
_cell_angle_gamma 90.08
_symmetry_space_group_name_H-M 'P -1'
_symmetry_Int_Tables_number 2
_symmetry_space_group_name_Hall '-P 1'
loop_
_atom_site_label
_atom_site_type_symbol
_atom_site_fract_x
_atom_site_fract_y
_atom_site_fract_z
Nd1 Nd 0.0000 0.0000 0.0000
Mg1 Mg 0.2853 0.7846 0.5696
Mg2 Mg 0.3965 0.3973 0.7940
```

Principal peaks in the range 10° ≤ 2θ ≤ 90°, low angle first:
d/Å	Rel. int.
7.246	79
4.882	70
3.623	24
3.535	43
2.869	30
2.804	52
2.667	100
2.593	34
2.530	60
1.904	25

(4)
Tc3Ir5: calculated PXRD pattern (CuKα), based on the PBE geometry in Alexandria.
Kinematic intensities with the Lorentz-polarization factor, no thermal factor.

Structural model:
```
data_Tc3Ir5
_cell_length_a 7.7092
_cell_length_b 7.7630
_cell_length_c 3.8660
_cell_angle_alpha 90.00
_cell_angle_beta 90.00
_cell_angle_gamma 90.00
_symmetry_space_group_name_H-M 'C m m m'
_symmetry_Int_Tables_number 65
_symmetry_space_group_name_Hall '-C 2 2'
loop_
_atom_site_label
_atom_site_type_symbol
_atom_site_fract_x
_atom_site_fract_y
_atom_site_fract_z
Tc1 Tc 0.0000 0.0000 0.0000
Tc2 Tc 0.2462 0.0000 0.5000
Ir1 Ir 0.0000 0.2489 0.5000
Ir2 Ir 0.0000 0.5000 0.0000
Ir3 Ir 0.2500 0.2500 0.0000
```

Principal peaks in the range 10° ≤ 2θ ≤ 90°, low angle first:
d/Å	Rel. int.
2.233	100
1.941	16
1.933	16
1.927	16
1.370	11
1.368	10
1.169	13
1.166	13
1.163	13
1.116	11

(5)
Li2La2Sb2O: calculated PXRD pattern (CuKα), based on the PBE geometry in Alexandria.
Kinematic intensities with the Lorentz-polarization factor, no thermal factor.

Structural model:
```
data_Li2La2Sb2O
_cell_length_a 4.6030
_cell_length_b 4.6030
_cell_length_c 15.8710
_cell_angle_alpha 90.00
_cell_angle_beta 90.00
_cell_angle_gamma 90.00
_symmetry_space_group_name_H-M 'I 4/m m m'
_symmetry_Int_Tables_number 139
_symmetry_space_group_name_Hall '-I 4 2'
loop_
_atom_site_label
_atom_site_type_symbol
_atom_site_fract_x
_atom_site_fract_y
_atom_site_fract_z
Li1 Li 0.0000 0.5000 0.0000
La1 La 0.0000 0.0000 0.1467
Sb1 Sb 0.0000 0.0000 0.3657
O1 O 0.0000 0.0000 0.0000
```

Principal peaks in the range 10° ≤ 2θ ≤ 90°, low angle first:
d/Å	Rel. int.
3.968	59
3.255	100
2.516	78
2.301	41
2.053	17
1.991	36
1.627	14
1.506	15
1.456	18
1.367	23

(6)
Cs8Au3I4F: calculated PXRD pattern (CuKα), based on the PBE geometry in Alexandria.
Kinematic intensities with the Lorentz-polarization factor, no thermal factor.

Structural model:
```
data_Cs8Au3I4F
_cell_length_a 18.4774
_cell_length_b 10.5457
_cell_length_c 10.5929
_cell_angle_alpha 90.00
_cell_angle_beta 124.93
_cell_angle_gamma 90.00
_symmetry_space_group_name_H-M 'C 1 2/m 1'
_symmetry_Int_Tables_number 12
_symmetry_space_group_name_Hall '-C 2y'
loop_
_atom_site_label
_atom_site_type_symbol
_atom_site_fract_x
_atom_site_fract_y
_atom_site_fract_z
Cs1 Cs 0.0035 0.2254 0.2211
Cs2 Cs 0.2455 0.5000 0.2556
Cs3 Cs 0.2491 0.0000 0.2585
Au1 Au 0.0000 0.5000 0.0000
Au2 Au 0.2500 0.2500 0.5000
I1 I 0.0000 0.0000 0.5000
I2 I 0.0000 0.5000 0.5000
I3 I 0.2500 0.2500 0.0000
F1 F 0.0000 0.0000 0.0000
```

Principal peaks in the range 10° ≤ 2θ ≤ 90°, low angle first:
d/Å	Rel. int.
3.787	55
3.737	100
2.660	82
2.648	18
2.636	19
2.170	20
2.164	22
1.689	21
1.675	24
1.527	13

(7)
Na6TaAs4: calculated PXRD pattern (CuKα), based on the PBE geometry in Alexandria.
Kinematic intensities with the Lorentz-polarization factor, no thermal factor.

Structural model:
```
data_Na6TaAs4
_cell_length_a 9.5841
_cell_length_b 9.5841
_cell_length_c 7.3175
_cell_angle_alpha 90.00
_cell_angle_beta 90.00
_cell_angle_gamma 120.00
_symmetry_space_group_name_H-M 'P 63 m c'
_symmetry_Int_Tables_number 186
_symmetry_space_group_name_Hall 'P 6c -2c'
loop_
_atom_site_label
_atom_site_type_symbol
_atom_site_fract_x
_atom_site_fract_y
_atom_site_fract_z
Na1 Na 0.0612 0.5306 0.0000
Na2 Na 0.1465 0.2930 0.3186
Ta1 Ta 0.3333 0.6667 0.6183
As1 As 0.1901 0.3803 0.7192
As2 As 0.3333 0.6667 0.2802
```

Principal peaks in the range 10° ≤ 2θ ≤ 90°, low angle first:
d/Å	Rel. int.
8.300	70
5.489	100
4.792	29
4.150	37
2.883	44
2.744	33
2.396	59
2.340	22
2.103	28
1.926	21

(8)
NdB12Pb: calculated PXRD pattern (CuKα), based on the PBE geometry in Alexandria.
Kinematic intensities with the Lorentz-polarization factor, no thermal factor.

Structural model:
```
data_NdB12Pb
_cell_length_a 8.3551
_cell_length_b 8.3551
_cell_length_c 8.3551
_cell_angle_alpha 90.00
_cell_angle_beta 90.00
_cell_angle_gamma 90.00
_symmetry_space_group_name_H-M 'F m -3 m'
_symmetry_Int_Tables_number 225
_symmetry_space_group_name_Hall '-F 4 2 3'
loop_
_atom_site_label
_atom_site_type_symbol
_atom_site_fract_x
_atom_site_fract_y
_atom_site_fract_z
Nd1 Nd 0.0000 0.0000 0.0000
B1 B 0.1005 0.2500 0.2500
Pb1 Pb 0.0000 0.0000 0.5000
```

Principal peaks in the range 10° ≤ 2θ ≤ 90°, low angle first:
d/Å	Rel. int.
4.178	71
2.954	100
2.412	42
2.089	21
1.868	51
1.705	30
1.393	28
1.321	20
1.260	14
1.116	19